Theoretical X-ray powder pattern
Compound: KPrEuSbO6
Radiation: λ = 1.5418 Å (Cu Kα)
Structure: a cell relaxed with PBE
Kinematic intensities with the Lorentz-polarization factor, no thermal factor.

Structure:
```
data_KPrEuSbO6
_space_group_name_H-M_alt 'F -4 3 m'
_space_group_IT_number 216
_space_group_name_Hall 'F -4 2 3'
_cell_length_a 8.4454
_cell_length_b 8.4454
_cell_length_c 8.4454
_cell_angle_alpha 90.00
_cell_angle_beta 90.00
_cell_angle_gamma 90.00
loop_
_atom_site_label
_atom_site_type_symbol
_atom_site_fract_x
_atom_site_fract_y
_atom_site_fract_z
K1 K 0.0000 0.0000 0.0000
Pr1 Pr 0.0000 0.0000 0.5000
Eu1 Eu 0.2500 0.2500 0.2500
Sb1 Sb 0.2500 0.2500 0.7500
O1 O 0.0144 0.2500 0.7500
```

Most intense lines, 2θ from 15° to 90°, by intensity:
- d = 2.986 Å, I = 100
- d = 1.724 Å, I = 40
- d = 2.111 Å, I = 31
- d = 1.129 Å, I = 21
- d = 1.493 Å, I = 19
- d = 1.335 Å, I = 18
- d = 4.876 Å, I = 13
- d = 4.223 Å, I = 11

Theoretical X-ray powder pattern
Compound: Hf3Ni4Ge4
Radiation: λ = 1.5418 Å (Cu Kα)
Structure: a cell relaxed with PBE
Kinematic intensities with the Lorentz-polarization factor, no thermal factor.

Structure:
```
data_Hf3Ni4Ge4
_space_group_name_H-M_alt 'I m m m'
_space_group_IT_number 71
_space_group_name_Hall '-I 2 2'
_cell_length_a 3.9177
_cell_length_b 6.5230
_cell_length_c 12.9077
_cell_angle_alpha 90.00
_cell_angle_beta 90.00
_cell_angle_gamma 90.00
loop_
_atom_site_label
_atom_site_type_symbol
_atom_site_fract_x
_atom_site_fract_y
_atom_site_fract_z
Hf1 Hf 0.0000 0.0000 0.0000
Hf2 Hf 0.0000 0.5000 0.1273
Ni1 Ni 0.0000 0.2999 0.3229
Ge1 Ge 0.0000 0.0000 0.2134
Ge2 Ge 0.0000 0.2003 0.5000
```

Most intense lines, 2θ from 15° to 90°, by intensity:
- d = 2.461 Å, I = 100
- d = 2.327 Å, I = 89
- d = 1.959 Å, I = 33
- d = 2.400 Å, I = 32
- d = 1.941 Å, I = 24
- d = 2.153 Å, I = 17
- d = 1.156 Å, I = 16
- d = 1.379 Å, I = 16

Theoretical X-ray powder pattern
Compound: NaTi2O3
Radiation: λ = 1.5418 Å (Cu Kα)
Structure: a cell relaxed with PBE
Kinematic intensities with the Lorentz-polarization factor, no thermal factor.

Structure:
```
data_NaTi2O3
_space_group_name_H-M_alt 'P 63/m c m'
_space_group_IT_number 193
_space_group_name_Hall '-P 6c 2'
_cell_length_a 5.1560
_cell_length_b 5.1560
_cell_length_c 10.4792
_cell_angle_alpha 90.00
_cell_angle_beta 90.00
_cell_angle_gamma 120.00
loop_
_atom_site_label
_atom_site_type_symbol
_atom_site_fract_x
_atom_site_fract_y
_atom_site_fract_z
Na1 Na 0.3333 0.6667 0.0000
Ti1 Ti 0.0000 0.0000 0.0000
Ti2 Ti 0.0000 0.3333 0.2500
O1 O 0.0000 0.3150 0.6273
```

Most intense lines, 2θ from 15° to 90°, by intensity:
- d = 2.313 Å, I = 100
- d = 2.074 Å, I = 78
- d = 1.488 Å, I = 39
- d = 1.626 Å, I = 34
- d = 1.446 Å, I = 18
- d = 2.503 Å, I = 17
- d = 2.620 Å, I = 16
- d = 1.294 Å, I = 15

Theoretical X-ray powder pattern
Compound: Ba2Ge2Se5
Radiation: λ = 1.5418 Å (Cu Kα)
Structure: a cell relaxed with PBE
Kinematic intensities with the Lorentz-polarization factor, no thermal factor.

Structure:
```
data_Ba2Ge2Se5
_space_group_name_H-M_alt 'P n m a'
_space_group_IT_number 62
_cell_length_a 12.8499
_cell_length_b 9.2491
_cell_length_c 9.4040
_cell_angle_alpha 90.00
_cell_angle_beta 90.00
_cell_angle_gamma 90.00
loop_
_space_group_symop_operation_xyz
'x,y,z'
'-x,-y,-z'
'-x+1/2,-y,z+1/2'
'x+1/2,y,-z+1/2'
'x+1/2,-y+1/2,-z+1/2'
'-x+1/2,y+1/2,z+1/2'
'-x,y+1/2,-z'
'x,-y+1/2,z'
loop_
_atom_site_label
_atom_site_type_symbol
_atom_site_fract_x
_atom_site_fract_y
_atom_site_fract_z
Ba1 Ba 0.1782 0.0040 0.1235
Ge1 Ge 0.0362 0.7500 0.4743
Ge2 Ge 0.0962 0.7500 0.8166
Se1 Se 0.0063 0.2500 0.9755
Se2 Se 0.0582 0.5429 0.6725
Se3 Se 0.2172 0.7500 0.3822
Se4 Se 0.2246 0.2500 0.3843
```

Most intense lines, 2θ from 15° to 90°, by intensity:
- d = 3.194 Å, I = 100
- d = 3.040 Å, I = 37
- d = 2.980 Å, I = 31
- d = 2.312 Å, I = 24
- d = 5.278 Å, I = 13
- d = 1.841 Å, I = 13
- d = 2.208 Å, I = 12
- d = 1.826 Å, I = 12